Record 1
Theoretical powder XRD pattern
Compound: Tc4OsSe
Radiation: Cu Ka
Structure: a GGA-PBE-relaxed structure

Atomic structure:
Cell lengths 7.2479, 7.2479, 7.2479 Å; angles 90.00, 90.00, 90.00 degrees
Space group F-43m (No. 216)
Asymmetric unit:
Tc (0.1249, 0.1249, 0.1249) x16
Os (0.2500, 0.2500, 0.7500) x4
Se (0.0000, 0.0000, 0.5000) x4

Top 8 peaks for 5° ≤ 2θ ≤ 70°, in order of rising 2θ:
two_theta  I_rel  hkl
21.23  6.9  1 1 1
24.56  6.8  2 0 0
35.02  35.6  2 2 0
41.31  100.0  3 1 1
43.24  32.1  2 2 2
56.81  3.0  4 2 0
62.81  13.2  4 2 2
67.10  31.3  5 1 1

***

Record 2
Theoretical powder XRD pattern
Compound: Th8Te4Os3Se
Radiation: Cu Ka
Structure: a GGA-PBE-relaxed structure

Atomic structure:
Cell lengths 14.7481, 8.5122, 9.0277 Å; angles 90.00, 123.01, 90.00 degrees
Space group C2/m (No. 12)
Asymmetric unit:
Th (0.0186, 0.2364, 0.2932) x8
Th (0.2333, 0.0000, 0.6987) x4
Th (0.2444, 0.5000, 0.7056) x4
Te (0.0000, 0.0000, 0.0000) x2
Te (0.0000, 0.5000, 0.0000) x2
Te (0.2500, 0.2500, 0.0000) x4
Os (0.0000, 0.0000, 0.5000) x2
Os (0.2500, 0.2500, 0.5000) x4
Se (0.0000, 0.5000, 0.5000) x2

Top 8 peaks for 5° ≤ 2θ ≤ 70°, in order of rising 2θ:
two_theta  I_rel  hkl
11.69  13.9  0 0 1
28.88  100.0  4 0 0
36.91  10.5  2 2 -3
40.09  31.7  2 2 2
42.47  38.2  0 4 0
52.17  19.2  4 4 0
59.82  9.6  8 0 0
69.46  15.8  10 2 -2

***

Record 3
Theoretical powder XRD pattern
Compound: Ti3OsSe
Radiation: Cu Ka
Structure: a GGA-PBE-relaxed structure

Atomic structure:
Cell lengths 4.7608, 4.7608, 4.7608 Å; angles 90.00, 90.00, 90.00 degrees
Space group Pm-3m (No. 221)
Asymmetric unit:
Ti (0.0000, 0.0000, 0.5000) x3
Os (0.0000, 0.0000, 0.0000) x1
Se (0.5000, 0.5000, 0.5000) x1

Top 8 peaks for 5° ≤ 2θ ≤ 70°, in order of rising 2θ:
two_theta  I_rel  hkl
18.64  58.2  1 0 0
26.48  100.0  1 1 0
37.79  68.9  2 0 0
42.46  28.5  2 1 0
46.74  44.3  2 1 1
54.52  46.2  2 2 0
61.60  19.8  3 1 0
68.24  15.4  2 2 2

***

Record 4
Theoretical powder XRD pattern
Compound: VOsSe
Radiation: Cu Ka
Structure: a GGA-PBE-relaxed structure

Atomic structure:
Cell lengths 11.3064, 3.0147, 6.3706 Å; angles 90.00, 117.89, 90.00 degrees
Space group Cm (No. 8)
Asymmetric unit:
V (0.0000, 0.0000, 0.0000) x2
V (0.2178, 0.5000, 0.2361) x2
Os (0.1510, 0.0000, 0.4803) x2
Os (0.4352, 0.0000, 0.2588) x2
Se (0.2035, 0.0000, 0.9161) x2
Se (0.4017, 0.0000, 0.6415) x2

Top 8 peaks for 5° ≤ 2θ ≤ 70°, in order of rising 2θ:
two_theta  I_rel  hkl
15.74  100.0  0 0 1
28.18  85.4  2 0 -2
30.98  95.9  1 1 0
35.95  77.0  4 0 0
38.38  80.1  3 1 -1
40.35  65.2  3 1 0
41.68  64.4  1 1 -2
48.10  58.5  1 1 2

***

Record 5
Theoretical powder XRD pattern
Compound: VOsSe
Radiation: Cu Ka
Structure: a GGA-PBE-relaxed structure

Atomic structure:
Cell lengths 3.0073, 5.8516, 5.5046 Å; angles 90.00, 90.00, 90.00 degrees
Space group Pmm2 (No. 25)
Asymmetric unit:
V (0.0000, 0.2397, 0.0000) x2
Os (0.5000, 0.0000, 0.2620) x1
Os (0.5000, 0.5000, 0.2658) x1
Se (0.0000, 0.5000, 0.6283) x1
Se (0.5000, 0.0000, 0.7240) x1

Top 8 peaks for 5° ≤ 2θ ≤ 70°, in order of rising 2θ:
two_theta  I_rel  hkl
16.10  100.0  0 0 1
30.55  75.7  0 2 0
33.97  80.6  1 0 1
34.72  55.5  0 2 1
43.14  70.8  1 2 0
44.63  87.7  1 0 2
45.23  82.5  0 2 2
46.33  70.1  1 2 1

***

Record 6
Theoretical powder XRD pattern
Compound: VOsSe4
Radiation: Cu Ka
Structure: a GGA-PBE-relaxed structure

Atomic structure:
Cell lengths 14.2380, 3.3414, 5.8293 Å; angles 90.00, 100.65, 90.00 degrees
Space group Cm (No. 8)
Asymmetric unit:
V (0.0000, 0.0000, 0.0000) x2
Os (0.4896, 0.0000, 0.6080) x2
Se (0.0907, 0.0000, 0.4289) x2
Se (0.1219, 0.5000, 0.9520) x2
Se (0.3672, 0.5000, 0.6774) x2
Se (0.3978, 0.0000, 0.1862) x2

Top 8 peaks for 5° ≤ 2θ ≤ 70°, in order of rising 2θ:
two_theta  I_rel  hkl
12.65  100.0  2 0 0
15.47  14.3  0 0 1
31.05  10.5  1 1 -1
35.00  55.6  3 1 -1
36.01  24.6  2 0 2
42.87  13.4  5 1 -1
47.30  20.9  5 1 1
54.69  11.9  1 1 -3